No. 1
Structure and computed PXRD pattern of KBeP2 (a PBE-relaxed structure; Cu Kα (weighted mean of Kα1 and Kα2)).
Peak positions follow from Bragg's law for the DFT cell and can differ from measured ones.

Peak list (12 most intense, 10 to 90 degrees two-theta, sorted by position)
hkl 2 0 -1, 2θ 25.95, 3.434 Å, rel. 30; hkl 1 1 0, 2θ 28.23, 3.161 Å, rel. 67; hkl 2 0 1, 2θ 29.34, 3.044 Å, rel. 93; hkl 1 1 -1, 2θ 30.71, 2.911 Å, rel. 49; hkl 1 1 1, 2θ 32.22, 2.778 Å, rel. 100; hkl 2 0 -2, 2θ 34.07, 2.632 Å, rel. 47; hkl 1 1 -2, 2θ 38.55, 2.335 Å, rel. 34; hkl 0 0 3, 2θ 41.73, 2.165 Å, rel. 31; hkl 3 1 0, 2θ 44.90, 2.019 Å, rel. 34; hkl 1 1 -3, 2θ 49.61, 1.838 Å, rel. 22; hkl 3 1 2, 2θ 56.34, 1.633 Å, rel. 22; hkl 2 2 1, 2θ 61.15, 1.516 Å, rel. 24

Cell and atoms:
a b c (Å): 7.492 3.494 6.558
angles (deg): 90.00 98.01 90.00
Space group Cm (No. 8)
One atom of each set of equivalent atoms:
1 K 0.000 0.000 0.000 (multiplicity 2)
2 Be 0.154 0.500 0.469 (multiplicity 2)
3 P 0.250 0.000 0.650 (multiplicity 2)
4 P 0.357 0.000 0.365 (multiplicity 2)

No. 2
Structure and computed PXRD pattern of K2BePSe4 (a PBE-relaxed structure; Cu Kα (weighted mean of Kα1 and Kα2)).
Peak positions follow from Bragg's law for the DFT cell and can differ from measured ones.

Peak list (12 most intense, 10 to 90 degrees two-theta, sorted by position)
hkl 1 0 1, 2θ 16.21, 5.469 Å, rel. 22; hkl 1 1 2, 2θ 27.52, 3.241 Å, rel. 100; hkl 1 2 1, 2θ 29.70, 3.008 Å, rel. 89; hkl 2 0 2, 2θ 32.75, 2.735 Å, rel. 15; hkl 2 2 0, 2θ 35.23, 2.547 Å, rel. 13; hkl 3 0 1, 2θ 39.01, 2.309 Å, rel. 17; hkl 1 3 0, 2θ 39.56, 2.278 Å, rel. 18; hkl 2 1 3, 2θ 42.78, 2.114 Å, rel. 24; hkl 3 2 1, 2θ 46.73, 1.944 Å, rel. 25; hkl 2 0 4, 2θ 50.29, 1.814 Å, rel. 22; hkl 4 0 2, 2θ 55.51, 1.655 Å, rel. 16; hkl 2 3 3, 2θ 56.58, 1.627 Å, rel. 17

Cell and atoms:
a b c (Å): 7.205 7.205 8.402
angles (deg): 90.00 90.00 90.00
Space group I-4 (No. 82)
One atom of each set of equivalent atoms:
1 K 0.000 0.000 0.000 (multiplicity 2)
2 K 0.000 0.500 0.250 (multiplicity 2)
3 Be 0.000 0.000 0.500 (multiplicity 2)
4 P 0.000 0.500 0.750 (multiplicity 2)
5 Se 0.144 0.754 0.611 (multiplicity 8)